[1]
Simulated powder XRD pattern of V4SiH for Cu Kα, 1.54184 Å, from a cell relaxed with GGA-PBE.
Peak positions follow from Bragg's law for the DFT cell and can differ from measured ones.

Top 10 peaks for 2θ from 10° to 80°, by intensity:
d_spacing, I/Imax, (hkl)
2.267, 1000, 4 0 -2
2.053, 789, 2 2 -1
2.176, 530, 1 1 2
1.906, 316, 5 1 0
1.755, 215, 1 1 -3
1.303, 132, 6 0 2
1.264, 132, 6 2 -3
1.322, 106, 3 3 1
1.366, 104, 3 1 -4
1.485, 101, 7 1 -1

Structure:
Cell: 10.9895 4.6034 5.7467 Å, 90.00 107.74 90.00°
Space group C2/c (No. 15)
Inequivalent atoms, fractional coordinates:
V1 0.0887 0.1171 0.4429
V2 0.1916 0.3845 0.1497
Si1 0.0000 0.3793 0.7500
H1 0.2500 0.2500 0.5000

[2]
Simulated powder XRD pattern of LaTh2Zn4 for Cu Kα, 1.54184 Å, from a cell relaxed with GGA-PBE.
Peak positions follow from Bragg's law for the DFT cell and can differ from measured ones.

Top 10 peaks for 2θ from 10° to 80°, by intensity:
d_spacing, I/Imax, (hkl)
2.566, 1000, 1 1 4
2.536, 499, 2 0 0
1.470, 358, 3 1 4
7.346, 351, 0 0 2
3.223, 248, 1 1 2
1.794, 177, 2 2 0
1.488, 169, 2 0 8
3.523, 143, 1 0 3
3.587, 139, 1 1 0
1.283, 102, 2 2 8

Structure:
Cell: 5.0728 5.0728 14.6927 Å, 90.00 90.00 90.00°
Space group I4/mmm (No. 139)
Inequivalent atoms, fractional coordinates:
La1 0.0000 0.0000 0.0000
Th1 0.0000 0.0000 0.2592
Zn1 0.0000 0.5000 0.1219

[3]
Simulated powder XRD pattern of NaSiSe for Cu Kα, 1.54184 Å, from a cell relaxed with GGA-PBE.
Peak positions follow from Bragg's law for the DFT cell and can differ from measured ones.

Top 10 peaks for 2θ from 10° to 80°, by intensity:
d_spacing, I/Imax, (hkl)
3.757, 1000, 1 0 1
2.191, 761, 1 1 0
2.505, 459, 0 1 8
3.650, 411, 0 1 2
2.183, 334, 1 0 10
3.298, 290, 1 0 4
1.762, 238, 1 1 9
1.703, 227, 0 1 14
2.689, 198, 1 0 7
2.965, 189, 0 0 9

Structure:
Cell: 4.3814 4.3814 26.6846 Å, 90.00 90.00 120.00°
Space group R3m (No. 160, hexagonal axes)
Inequivalent atoms, fractional coordinates:
Na1 0.0000 0.0000 0.0000
Na2 0.0000 0.0000 0.2222
Si1 0.0000 0.0000 0.4960
Si2 0.0000 0.0000 0.8012
Se1 0.0000 0.0000 0.5867
Se2 0.0000 0.0000 0.7176

[4]
Simulated powder XRD pattern of BaPuUO6 for Cu Kα, 1.54184 Å, from a cell relaxed with GGA-PBE.
Peak positions follow from Bragg's law for the DFT cell and can differ from measured ones.

Top 10 peaks for 2θ from 10° to 80°, by intensity:
d_spacing, I/Imax, (hkl)
3.746, 1000, 1 0 2
2.978, 614, 1 1 0
2.010, 546, 1 1 4
5.450, 381, 0 0 2
2.613, 307, 1 1 2
1.835, 275, 2 1 2
2.331, 263, 2 0 2
1.719, 184, 3 0 0
1.454, 149, 3 0 4
2.725, 142, 0 0 4

Structure:
Cell: 5.9555 5.9555 10.8991 Å, 90.00 90.00 120.00°
Space group P-31c (No. 163)
Inequivalent atoms, fractional coordinates:
Ba1 0.0000 0.0000 0.0000
Pu1 0.3333 0.6667 0.2500
U1 0.3333 0.6667 0.7500
O1 0.0130 0.3852 0.6497

[5]
Simulated powder XRD pattern of Na4HgPd3O8 for Cu Kα, 1.54184 Å, from a cell relaxed with GGA-PBE.
Peak positions follow from Bragg's law for the DFT cell and can differ from measured ones.

Top 10 peaks for 2θ from 10° to 80°, by intensity:
d_spacing, I/Imax, (hkl)
5.152, 1000, 2 0 -1
2.744, 555, 0 0 2
2.208, 550, 2 2 -2
2.712, 473, 2 2 0
2.624, 391, 4 0 0
3.141, 235, 2 0 1
2.576, 223, 4 0 -2
1.734, 220, 2 2 2
1.648, 173, 6 2 -2
1.584, 168, 0 4 0

Structure:
Cell: 11.8097 6.3370 6.1748 Å, 90.00 117.28 90.00°
Space group C2/m (No. 12)
Inequivalent atoms, fractional coordinates:
Na1 0.0000 0.0000 0.0000
Na2 0.0000 0.5000 0.0000
Na3 0.2500 0.2500 0.5000
Hg1 0.0000 0.0000 0.5000
Pd1 0.0000 0.5000 0.5000
Pd2 0.2500 0.2500 0.0000
O1 0.0563 0.2765 0.7674
O2 0.2149 0.0000 0.1786
O3 0.2366 0.5000 0.2040

[6]
Simulated powder XRD pattern of Ba2TaCu2Pb2ClO8 for Cu Kα, 1.54184 Å, from a cell relaxed with GGA-PBE.
Peak positions follow from Bragg's law for the DFT cell and can differ from measured ones.

Top 10 peaks for 2θ from 10° to 80°, by intensity:
d_spacing, I/Imax, (hkl)
2.824, 1000, 1 1 0
1.631, 332, 2 1 4
1.997, 231, 2 0 0
3.876, 141, 1 0 1
1.263, 129, 3 1 0
1.412, 111, 2 2 0
3.994, 101, 1 0 0
2.306, 71, 1 1 4
2.495, 69, 1 0 5
5.323, 67, 0 0 3

Structure:
Cell: 3.9954 3.9954 15.9691 Å, 90.00 90.00 90.00°
Space group P4/mmm (No. 123)
Inequivalent atoms, fractional coordinates:
Ba1 0.0000 0.0000 0.1507
Ta1 0.5000 0.5000 0.0000
Cu1 0.5000 0.5000 0.2779
Pb1 0.0000 0.0000 0.3808
Cl1 0.5000 0.5000 0.5000
O1 0.0000 0.5000 0.0000
O2 0.0000 0.5000 0.2889
O3 0.5000 0.5000 0.1243